Diffraction record for BeIn2Fe. The X-ray powder pattern is theoretical, not measured: it uses a GGA-PBE-relaxed structure and Cu Kα.
Kinematic intensities with the Lorentz-polarization factor, no thermal factor.

Atomic structure:
Cell: 3.709 3.682 5.195 Å, 90.00 110.69 90.00°
Space group Pm (No. 6)
Unique sites:
Be  0.000  0.000  0.000
In  0.291  0.000  0.580
In  0.585  0.500  0.172
Fe  0.873  0.500  0.748

Most intense lines, 10 to 90 degrees two-theta, in order of rising 2θ:
d/Å  I/Imax  hkl
3.466  16  1 0 0
2.935  52  0 1 1
2.524  100  1 1 -1
2.445  29  1 0 1
2.433  49  1 0 -2
2.037  11  1 1 1
2.029  31  0 1 2
1.855  18  2 0 -1
1.841  18  0 2 0
1.471  15  1 2 1
1.468  19  1 2 -2
1.157  14  3 0 0